Starting from a DFT-relaxed cell (PBE+U, Alexandria), the powder diffraction line list of Li3Mn4P6O24 was calculated for Cu Kα (λ = 1.5418 Å).
Lines closer than 0.1° are merged.

Most intense lines, 2θ from 10° to 90°, by intensity:
- 2θ = 24.79°, rel. 100, (-1 1 2)
- 2θ = 24.48°, rel. 81, (1 2 0)
- 2θ = 14.49°, rel. 55, (0 1 0)
- 2θ = 19.97°, rel. 52, (1 0 1)
- 2θ = 14.83°, rel. 51, (1 0 -1)
- 2θ = 20.45°, rel. 47, (0 1 2)
- 2θ = 29.22°, rel. 45, (0 2 0)
- 2θ = 32.70°, rel. 43, (2 1 -2)
- 2θ = 20.26°, rel. 42, (1 1 -1)
- 2θ = 21.44°, rel. 41, (1 2 1)

Atomic structure:
Lattice parameters (Å, degrees): 8.2886 8.2911 8.7193 62.25 89.53 60.43
Sites, in units of the cell vectors:
Li1 0.0000 0.0000 0.0000
Li2 0.0385 0.4586 0.5084
Li3 0.5371 0.0476 0.3171
Mn1 0.0651 0.1559 0.4107
Mn2 0.3677 0.5514 0.3116
Mn3 0.5713 0.1489 0.9275
Mn4 0.8510 0.5745 0.7868
P1 0.1843 0.6418 0.6126
P2 0.2555 0.0680 0.1148
P3 0.4531 0.0783 0.6042
P4 0.6801 0.3640 0.1073
P5 0.7492 0.3533 0.6057
P6 0.9651 0.6455 0.1124
O1 0.0943 0.2456 0.9392
O2 0.1678 0.6117 0.1347
O3 0.1970 0.5825 0.4629
O4 0.2004 0.8370 0.5577
O5 0.2379 0.1464 0.5802
O6 0.2433 0.1245 0.2657
O7 0.2431 0.8677 0.1739
O8 0.3441 0.4429 0.7919
O9 0.4623 0.0120 0.1014
O10 0.4719 0.2482 0.4326
O11 0.5192 0.0578 0.7804
O12 0.5415 0.5219 0.1626
O13 0.5435 0.5235 0.4742
O14 0.5829 0.8728 0.5998
O15 0.6050 0.2246 0.1047
O16 0.6879 0.4986 0.9174
O17 0.7456 0.2130 0.8013
O18 0.8267 0.8718 0.0935
O19 0.8309 0.4813 0.6137
O20 0.8872 0.1865 0.2448
O21 0.8871 0.1866 0.5568
O22 0.9125 0.6526 0.9436
O23 0.9521 0.4745 0.2854
O24 0.9822 0.6921 0.6314